No. 1
For W3Br8, a structure optimized by DFT (GGA-PBE) gives the computed powder XRD pattern in this record (Cu Kα X-rays).

Crystal structure
Cell lengths 10.0051, 10.0051, 14.8169 Å; angles 90.00, 90.00, 100.47 degrees
Fractional coordinates of all 44 atoms:
W  0.0313  0.1746  0.9514
W  0.0694  0.9306  0.8874
W  0.1746  0.0313  0.0486
W  0.3254  0.4687  0.5486
W  0.4306  0.5694  0.3874
W  0.4687  0.3254  0.4514
W  0.5313  0.6746  0.5486
W  0.5694  0.4306  0.6126
W  0.6746  0.5313  0.4514
W  0.8254  0.9687  0.9514
W  0.9306  0.0694  0.1126
W  0.9687  0.8254  0.0486
Br  0.0432  0.9568  0.5681
Br  0.0746  0.9254  0.2049
Br  0.0769  0.4123  0.8840
Br  0.0877  0.4231  0.6160
Br  0.1342  0.2730  0.1086
Br  0.1590  0.8410  0.7393
Br  0.2100  0.7900  0.9863
Br  0.2270  0.3658  0.3914
Br  0.2730  0.1342  0.8914
Br  0.2900  0.7100  0.4863
Br  0.3410  0.6590  0.2393
Br  0.3658  0.2270  0.6086
Br  0.4123  0.0769  0.1160
Br  0.4231  0.0877  0.3840
Br  0.4254  0.5746  0.7049
Br  0.4568  0.5432  0.0681
Br  0.5432  0.4568  0.9319
Br  0.5746  0.4254  0.2951
Br  0.5769  0.9123  0.6160
Br  0.5877  0.9231  0.8840
Br  0.6342  0.7730  0.3914
Br  0.6590  0.3410  0.7607
Br  0.7100  0.2900  0.5137
Br  0.7270  0.8658  0.1086
Br  0.7730  0.6342  0.6086
Br  0.7900  0.2100  0.0137
Br  0.8410  0.1590  0.2607
Br  0.8658  0.7270  0.8914
Br  0.9123  0.5769  0.3840
Br  0.9231  0.5877  0.1160
Br  0.9254  0.0746  0.7951
Br  0.9568  0.0432  0.4319

Top 12 peaks for 10° ≤ 2θ ≤ 80°, by angle:
d (Å), 2theta, intensity
8.196, 10.79, 100
7.691, 11.51, 22
7.408, 11.95, 19
6.399, 13.84, 10
3.203, 27.85, 9
2.424, 37.10, 6
2.348, 38.34, 7
2.202, 40.99, 15
2.191, 41.21, 16
2.143, 42.17, 8
1.903, 47.79, 7
1.854, 49.13, 7

***

No. 2
For YBr3, a structure optimized by DFT (GGA-PBE) gives the computed powder XRD pattern in this record (Cu Kα X-rays).

Crystal structure
Cell lengths 7.2820, 12.5523, 7.2992 Å; angles 90.00, 110.00, 90.00 degrees
Fractional coordinates of all 16 atoms:
Y  0.0000  0.1668  0.0000
Y  0.0000  0.8332  0.0000
Y  0.5000  0.3332  0.0000
Y  0.5000  0.6668  0.0000
Br  0.2107  0.0000  0.2392
Br  0.2393  0.1807  0.7676
Br  0.2393  0.8193  0.7676
Br  0.2607  0.3193  0.2324
Br  0.2607  0.6807  0.2324
Br  0.2893  0.5000  0.7608
Br  0.7107  0.5000  0.2392
Br  0.7393  0.3193  0.7676
Br  0.7393  0.6807  0.7676
Br  0.7607  0.1807  0.2324
Br  0.7607  0.8193  0.2324
Br  0.7893  0.0000  0.7608

Top 12 peaks for 10° ≤ 2θ ≤ 80°, by angle:
d (Å), 2theta, intensity
6.859, 12.91, 48
6.276, 14.11, 14
6.008, 14.74, 26
5.393, 16.44, 14
3.426, 26.01, 60
2.986, 29.92, 50
2.958, 30.22, 100
2.101, 43.04, 67
2.091, 43.26, 34
1.785, 51.17, 13
1.713, 53.51, 24
1.210, 79.17, 14

***

No. 3
For Y2Br3, a structure optimized by DFT (GGA-PBE) gives the computed powder XRD pattern in this record (Cu Kα X-rays).

Crystal structure
Cell lengths 8.8434, 8.8434, 11.0144 Å; angles 120.62, 120.62, 25.75 degrees
Fractional coordinates of all 10 atoms:
Y  0.0775  0.0775  0.4556
Y  0.3663  0.3663  0.2152
Y  0.6337  0.6337  0.7848
Y  0.9225  0.9225  0.5444
Br  0.1627  0.1627  0.0072
Br  0.2796  0.2796  0.3801
Br  0.4580  0.4580  0.7625
Br  0.5420  0.5420  0.2375
Br  0.7204  0.7204  0.6199
Br  0.8373  0.8373  0.9928

Top 12 peaks for 10° ≤ 2θ ≤ 80°, by angle:
d (Å), 2theta, intensity
8.246, 10.73, 35
3.372, 26.43, 42
3.250, 27.44, 31
3.174, 28.11, 43
2.779, 32.22, 100
2.747, 32.59, 54
2.728, 32.83, 36
2.436, 36.91, 35
2.255, 39.98, 34
2.088, 43.32, 31
2.066, 43.81, 34
1.970, 46.07, 33

***

No. 4
For YBr3, a structure optimized by DFT (GGA-PBE) gives the computed powder XRD pattern in this record (Cu Kα X-rays).

Crystal structure
Cell lengths 10.6731, 10.6731, 3.7521 Å; angles 90.00, 90.00, 120.00 degrees
Fractional coordinates of all 8 atoms:
Y  0.3333  0.6667  0.2500
Y  0.6667  0.3333  0.7500
Br  0.2183  0.4366  0.7500
Br  0.2183  0.7817  0.7500
Br  0.4366  0.2183  0.2500
Br  0.5634  0.7817  0.7500
Br  0.7817  0.2183  0.2500
Br  0.7817  0.5634  0.2500

Top 12 peaks for 10° ≤ 2θ ≤ 80°, by angle:
d (Å), 2theta, intensity
5.337, 16.61, 37
4.622, 19.20, 79
3.494, 25.50, 38
2.913, 30.69, 100
2.560, 35.05, 66
2.381, 37.78, 63
2.117, 42.70, 68
1.876, 48.53, 13
1.779, 51.37, 32
1.518, 61.03, 28
1.291, 73.34, 21
1.246, 76.48, 21

***

No. 5
For ZnBr2, a structure optimized by DFT (GGA-PBE) gives the computed powder XRD pattern in this record (Cu Kα X-rays).

Crystal structure
Cell lengths 3.8086, 3.8086, 22.0561 Å; angles 90.00, 90.00, 120.00 degrees
Fractional coordinates of all 9 atoms:
Zn  0.0000  0.0000  0.0000
Zn  0.3333  0.6667  0.6667
Zn  0.6667  0.3333  0.3333
Br  0.0000  0.0000  0.2663
Br  0.0000  0.0000  0.7337
Br  0.3333  0.6667  0.4003
Br  0.3333  0.6667  0.9330
Br  0.6667  0.3333  0.0670
Br  0.6667  0.3333  0.5997

Top 12 peaks for 10° ≤ 2θ ≤ 80°, by angle:
d (Å), 2theta, intensity
7.352, 12.04, 99
3.262, 27.34, 9
3.160, 28.24, 22
2.831, 31.61, 100
2.278, 39.55, 35
2.115, 42.75, 29
1.904, 47.76, 35
1.843, 49.44, 16
1.713, 53.48, 21
1.580, 58.41, 16
1.461, 63.69, 8
1.216, 78.69, 14